Record 1
# PmSmYMg
Calculated powder diffractogram, Cu Kα (weighted mean of Kα1 and Kα2). Input: a crystal structure in Alexandria, relaxed with PBE.
No peak broadening, texture or thermal motion is included.

Top 8 peaks for 5° ≤ 2θ ≤ 70°, low angle first:
9.62 deg, I = 24, (0 0 1); 26.13 deg, I = 26, (1 0 1); 31.17 deg, I = 100, (1 0 2); 34.55 deg, I = 39, (1 1 0); 39.19 deg, I = 12, (0 0 4); 49.66 deg, I = 14, (2 0 0); 53.22 deg, I = 19, (1 1 4); 59.80 deg, I = 31, (2 1 2)

```
data_PmSmYMg
_chemical_formula_sum 'Pm1 Sm1 Y1 Mg1'
_cell_length_a 3.6719
_cell_length_b 3.6719
_cell_length_c 9.1957
_cell_angle_alpha 90.00
_cell_angle_beta 90.00
_cell_angle_gamma 90.00
_space_group_name_H-M_alt 'P 4 m m'
_space_group_IT_number 99
loop_
_space_group_symop_operation_xyz
'x,y,z'
'-y,x,z'
'-x,-y,z'
'y,-x,z'
'-x,y,z'
'y,x,z'
'x,-y,z'
'-y,-x,z'
loop_
_atom_site_label
_atom_site_type_symbol
_atom_site_fract_x
_atom_site_fract_y
_atom_site_fract_z
Pm1 Pm 0.0000 0.0000 0.0000
Sm1 Sm 0.5000 0.5000 0.7271
Y1 Y 0.0000 0.0000 0.4580
Mg1 Mg 0.5000 0.5000 0.2344
```

Record 2
# PmMg4Sn5
Calculated powder diffractogram, Cu Kα (weighted mean of Kα1 and Kα2). Input: a crystal structure in Alexandria, relaxed with PBE.
No peak broadening, texture or thermal motion is included.

Top 8 peaks for 5° ≤ 2θ ≤ 70°, low angle first:
5.00 deg, I = 24, (0 0 1); 23.67 deg, I = 25, (1 0 0); 33.72 deg, I = 60, (1 1 0); 34.85 deg, I = 100, (1 0 5); 42.56 deg, I = 9, (1 1 5); 48.44 deg, I = 22, (2 0 0); 61.05 deg, I = 40, (2 1 5); 63.20 deg, I = 14, (1 1 10)

```
data_PmMg4Sn5
_chemical_formula_sum 'Pm1 Mg4 Sn5'
_cell_length_a 3.7587
_cell_length_b 3.7587
_cell_length_c 17.6660
_cell_angle_alpha 90.00
_cell_angle_beta 90.00
_cell_angle_gamma 90.00
_space_group_name_H-M_alt 'P 4/m m m'
_space_group_IT_number 123
_space_group_name_Hall '-P 4 2'
loop_
_atom_site_label
_atom_site_type_symbol
_atom_site_fract_x
_atom_site_fract_y
_atom_site_fract_z
Pm1 Pm 0.0000 0.0000 0.0000
Mg1 Mg 0.0000 0.0000 0.2095
Mg2 Mg 0.0000 0.0000 0.4020
Sn1 Sn 0.5000 0.5000 0.1175
Sn2 Sn 0.5000 0.5000 0.3049
Sn3 Sn 0.5000 0.5000 0.5000
```